Theoretical powder X-ray diffraction pattern
Compound: Ca5Sc2Co2O12
Radiation: Cu Kα, 1.54184 Å
Structure: a structure optimized by DFT (PBE+U)

Most intense lines, 2θ = 5–70°, sorted by position:
(1 1 -1), 4.673 Å, 18.99 deg, intensity 1000
(0 2 0), 4.589 Å, 19.34 deg, intensity 364
(2 0 -2), 2.715 Å, 32.99 deg, intensity 469
(1 3 -1), 2.665 Å, 33.63 deg, intensity 944
(2 2 2), 2.188 Å, 41.26 deg, intensity 345
(2 4 1), 1.923 Å, 47.27 deg, intensity 513

Crystal structure
Unit cell a=9.020 b=9.178 c=6.385 alpha=90.00 beta=95.27 gamma=90.00
Space group C2 (No. 5)
Asymmetric unit:
1 Ca 0.000 0.000 0.000 [2 per cell]
2 Ca 0.182 0.543 0.627 [4 per cell]
3 Ca 0.190 0.683 0.139 [4 per cell]
4 Sc 0.000 0.363 0.000 [2 per cell]
5 Sc 0.000 0.873 0.500 [2 per cell]
6 Co 0.250 0.362 0.245 [4 per cell]
7 O 0.064 0.766 0.797 [4 per cell]
8 O 0.071 0.473 0.280 [4 per cell]
9 O 0.133 0.026 0.677 [4 per cell]
10 O 0.140 0.197 0.144 [4 per cell]
11 O 0.214 0.801 0.468 [4 per cell]
12 O 0.225 0.428 0.955 [4 per cell]

=====

Theoretical powder X-ray diffraction pattern
Compound: CaCoSiO4
Radiation: Cu Kα, 1.54184 Å
Structure: a structure optimized by DFT (PBE+U)

Most intense lines, 2θ = 5–70°, sorted by position:
(2 0 0), 3.012 Å, 29.66 deg, intensity 620
(1 3 0), 2.709 Å, 33.07 deg, intensity 777
(1 1 2), 2.690 Å, 33.30 deg, intensity 1000
(0 4 2), 1.851 Å, 49.23 deg, intensity 203
(3 3 0), 1.674 Å, 54.83 deg, intensity 230
(2 4 2), 1.577 Å, 58.53 deg, intensity 441

Crystal structure
Unit cell a=6.025 b=9.097 c=6.371 alpha=90.00 beta=90.00 gamma=90.00
Space group Cmcm (No. 63)
Asymmetric unit:
1 Ca 0.000 0.000 0.000 [4 per cell]
2 Co 0.000 0.347 0.250 [4 per cell]
3 Si 0.000 0.358 0.750 [4 per cell]
4 O 0.000 0.257 0.537 [8 per cell]
5 O 0.214 0.476 0.750 [8 per cell]

=====

Theoretical powder X-ray diffraction pattern
Compound: Ca8Zn3CoSi8O28
Radiation: Cu Kα, 1.54184 Å
Structure: a structure optimized by DFT (PBE+U)

Most intense lines, 2θ = 5–70°, sorted by position:
(2 0 1), 3.752 Å, 23.71 deg, intensity 419
(2 2 1), 3.115 Å, 28.65 deg, intensity 663
(3 1 1), 2.898 Å, 30.85 deg, intensity 1000
(4 0 0), 2.795 Å, 32.02 deg, intensity 165
(4 2 0), 2.500 Å, 35.92 deg, intensity 402
(4 2 2), 1.779 Å, 51.37 deg, intensity 438

Crystal structure
Unit cell a=11.180 b=11.180 c=5.062 alpha=90.00 beta=90.00 gamma=90.00
Space group P-4 (No. 81)
Asymmetric unit:
1 Ca 0.080 0.750 0.499 [4 per cell]
2 Ca 0.250 0.420 0.501 [4 per cell]
3 Zn 0.000 0.000 0.000 [1 per cell]
4 Zn 0.000 0.500 0.000 [2 per cell]
5 Co 0.500 0.500 0.000 [1 per cell]
6 Si 0.109 0.250 0.066 [4 per cell]
7 Si 0.250 0.609 0.933 [4 per cell]
8 O 0.052 0.134 0.221 [4 per cell]
9 O 0.052 0.366 0.221 [4 per cell]
10 O 0.108 0.250 0.748 [4 per cell]
11 O 0.134 0.552 0.778 [4 per cell]
12 O 0.250 0.250 0.184 [4 per cell]
13 O 0.251 0.607 0.251 [4 per cell]
14 O 0.366 0.552 0.777 [4 per cell]

=====

Theoretical powder X-ray diffraction pattern
Compound: Ca4ZnCoSi4O14
Radiation: Cu Kα, 1.54184 Å
Structure: a structure optimized by DFT (PBE+U)

Most intense lines, 2θ = 5–70°, sorted by position:
(1 1 1), 3.754 Å, 23.70 deg, intensity 394
(2 0 1), 3.117 Å, 28.64 deg, intensity 638
(2 1 1), 2.900 Å, 30.84 deg, intensity 1000
(2 2 0), 2.796 Å, 32.02 deg, intensity 157
(3 1 0), 2.500 Å, 35.92 deg, intensity 384
(3 1 2), 1.780 Å, 51.34 deg, intensity 423

Crystal structure
Unit cell a=7.907 b=7.907 c=5.067 alpha=90.00 beta=90.00 gamma=90.00
Space group P-4 (No. 81)
Asymmetric unit:
1 Ca 0.165 0.675 0.001 [4 per cell]
2 Zn 0.500 0.500 0.500 [1 per cell]
3 Co 0.000 0.000 0.500 [1 per cell]
4 Si 0.139 0.357 0.567 [4 per cell]
5 O 0.000 0.500 0.684 [2 per cell]
6 O 0.077 0.186 0.726 [4 per cell]
7 O 0.138 0.352 0.249 [4 per cell]
8 O 0.315 0.412 0.718 [4 per cell]

=====

Theoretical powder X-ray diffraction pattern
Compound: CaSmCoO4
Radiation: Cu Kα, 1.54184 Å
Structure: a structure optimized by DFT (PBE+U)

Most intense lines, 2θ = 5–70°, sorted by position:
(1 1 0), 4.810 Å, 18.44 deg, intensity 237
(0 2 1), 4.047 Å, 21.96 deg, intensity 298
(0 0 2), 2.750 Å, 32.56 deg, intensity 1000
(2 0 0), 2.628 Å, 34.12 deg, intensity 281
(0 4 2), 2.023 Å, 44.80 deg, intensity 238
(2 0 2), 1.901 Å, 47.86 deg, intensity 283

Crystal structure
Unit cell a=5.256 b=11.942 c=5.505 alpha=90.00 beta=90.00 gamma=90.00
Space group Cmc2_1 (No. 36)
Asymmetric unit:
1 Ca 0.000 0.105 0.000 [4 per cell]
2 Sm 0.000 0.388 0.037 [4 per cell]
3 Co 0.000 0.249 0.517 [4 per cell]
4 O 0.000 0.082 0.572 [4 per cell]
5 O 0.000 0.425 0.457 [4 per cell]
6 O 0.250 0.232 0.266 [8 per cell]

=====

Theoretical powder X-ray diffraction pattern
Compound: CaCoSnO4
Radiation: Cu Kα, 1.54184 Å
Structure: a structure optimized by DFT (PBE+U)

Most intense lines, 2θ = 5–70°, sorted by position:
(1 0 1), 5.265 Å, 16.84 deg, intensity 1000
(1 0 3), 2.787 Å, 32.11 deg, intensity 486
(1 2 1), 2.737 Å, 32.73 deg, intensity 957
(0 2 2), 2.636 Å, 34.02 deg, intensity 421
(2 2 0), 2.263 Å, 39.84 deg, intensity 379
(2 2 4), 1.621 Å, 56.80 deg, intensity 464

Crystal structure
Unit cell a=6.387 b=6.412 c=9.292 alpha=90.00 beta=90.00 gamma=90.00
Space group Imma (No. 74)
Asymmetric unit:
1 Ca 0.000 0.250 0.136 [4 per cell]
2 Co 0.250 0.250 0.750 [4 per cell]
3 Sn 0.000 0.000 0.500 [4 per cell]
4 O 0.000 0.030 0.723 [8 per cell]
5 O 0.220 0.250 0.507 [8 per cell]

=====

Theoretical powder X-ray diffraction pattern
Compound: SrCaCoO4
Radiation: Cu Kα, 1.54184 Å
Structure: a structure optimized by DFT (PBE+U)

Most intense lines, 2θ = 5–70°, sorted by position:
(1 0 1), 3.630 Å, 24.53 deg, intensity 621
(0 2 0), 2.893 Å, 30.91 deg, intensity 1000
(1 1 -2), 2.845 Å, 31.45 deg, intensity 626
(2 1 -2), 2.285 Å, 39.44 deg, intensity 645
(1 1 2), 2.267 Å, 39.75 deg, intensity 692
(2 2 0), 1.971 Å, 46.06 deg, intensity 550

Crystal structure
Unit cell a=5.664 b=5.786 c=6.838 alpha=90.00 beta=108.08 gamma=90.00
Space group P2_1/m (No. 11)
Asymmetric unit:
1 Sr 0.231 0.250 0.435 [2 per cell]
2 Ca 0.310 0.250 0.962 [2 per cell]
3 Co 0.241 0.750 0.184 [2 per cell]
4 O 0.042 0.750 0.343 [2 per cell]
5 O 0.053 0.750 0.925 [2 per cell]
6 O 0.462 0.512 0.235 [4 per cell]

=====

Theoretical powder X-ray diffraction pattern
Compound: Ca2CoTcO6
Radiation: Cu Kα, 1.54184 Å
Structure: a structure optimized by DFT (PBE+U)

Most intense lines, 2θ = 5–70°, sorted by position:
(1 1 0), 3.804 Å, 23.39 deg, intensity 333
(1 1 1), 2.737 Å, 32.72 deg, intensity 1000
(2 0 0), 2.690 Å, 33.31 deg, intensity 476
(2 2 0), 1.902 Å, 47.83 deg, intensity 410
(3 1 1), 1.562 Å, 59.16 deg, intensity 350
(2 2 2), 1.368 Å, 68.57 deg, intensity 239

Crystal structure
Unit cell a=5.379 b=5.379 c=3.941 alpha=90.00 beta=90.00 gamma=90.00
Space group P4mm (No. 99)
Asymmetric unit:
1 Ca 0.000 0.500 0.000 [2 per cell]
2 Co 0.000 0.000 0.508 [1 per cell]
3 Tc 0.500 0.500 0.507 [1 per cell]
4 O 0.000 0.000 0.009 [1 per cell]
5 O 0.248 0.248 0.511 [4 per cell]
6 O 0.500 0.500 0.009 [1 per cell]

=====

Theoretical powder X-ray diffraction pattern
Compound: Ca3Co2Te2O12
Radiation: Cu Kα, 1.54184 Å
Structure: a structure optimized by DFT (PBE+U)

Most intense lines, 2θ = 5–70°, sorted by position:
(1 -1 0), 3.928 Å, 22.64 deg, intensity 1000
(1 1 0), 3.779 Å, 23.54 deg, intensity 452
(-1 1 2), 2.783 Å, 32.16 deg, intensity 418
(1 -1 2), 2.772 Å, 32.30 deg, intensity 412
(1 1 -2), 2.750 Å, 32.56 deg, intensity 820
(1 1 2), 2.697 Å, 33.21 deg, intensity 724

Crystal structure
Unit cell a=5.403 b=5.511 c=7.844 alpha=90.59 beta=90.91 gamma=92.29
Space group P1 (No. 1)
Asymmetric unit:
1 Ca 0.000 0.000 0.000 [1 per cell]
2 Ca 0.016 0.905 0.496 [1 per cell]
3 Ca 0.490 0.397 0.498 [1 per cell]
4 Co 0.512 0.945 0.761 [1 per cell]
5 Co 0.999 0.451 0.231 [1 per cell]
6 Te 0.010 0.455 0.752 [1 per cell]
7 Te 0.507 0.937 0.242 [1 per cell]
8 O 0.097 0.425 0.989 [1 per cell]
9 O 0.210 0.176 0.698 [1 per cell]
10 O 0.230 0.145 0.287 [1 per cell]
11 O 0.291 0.657 0.301 [1 per cell]
12 O 0.300 0.671 0.693 [1 per cell]
13 O 0.418 0.925 0.004 [1 per cell]
14 O 0.591 0.972 0.485 [1 per cell]
15 O 0.720 0.229 0.783 [1 per cell]
16 O 0.729 0.233 0.208 [1 per cell]
17 O 0.808 0.761 0.213 [1 per cell]
18 O 0.832 0.750 0.783 [1 per cell]
19 O 0.919 0.471 0.510 [1 per cell]

=====

Theoretical powder X-ray diffraction pattern
Compound: Ca2TlCoO6
Radiation: Cu Kα, 1.54184 Å
Structure: a structure optimized by DFT (PBE+U)

Most intense lines, 2θ = 5–70°, sorted by position:
(1 0 0), 5.439 Å, 16.30 deg, intensity 309
(0 0 1), 4.885 Å, 18.16 deg, intensity 359
(1 1 0), 3.846 Å, 23.13 deg, intensity 404
(1 1 1), 3.022 Å, 29.56 deg, intensity 1000
(2 0 0), 2.720 Å, 32.93 deg, intensity 367
(3 1 1), 1.622 Å, 56.74 deg, intensity 310

Crystal structure
Unit cell a=5.439 b=5.439 c=4.885 alpha=90.00 beta=90.00 gamma=90.00
Space group P4mm (No. 99)
Asymmetric unit:
1 Ca 0.000 0.500 0.000 [2 per cell]
2 Tl 0.000 0.000 0.561 [1 per cell]
3 Co 0.500 0.500 0.622 [1 per cell]
4 O 0.000 0.000 0.130 [1 per cell]
5 O 0.272 0.272 0.733 [4 per cell]
6 O 0.500 0.500 0.278 [1 per cell]